Record 1
For BaBr, a DFT-relaxed cell (PBE, Alexandria) gives the theoretical X-ray powder pattern in this record (Cu Kα (λ = 1.5418 Å)).
Neutral-atom scattering factors, no anomalous dispersion.

Main lines, sorted by position (2θ = 5–70°):
d 3.661, 24.31 deg, intensity 100; d 2.841, 31.49 deg, intensity 87; d 2.394, 37.58 deg, intensity 56; d 2.203, 40.97 deg, intensity 25; d 2.003, 45.26 deg, intensity 19; d 1.831, 49.81 deg, intensity 23; d 1.512, 61.31 deg, intensity 26; d 1.454, 64.04 deg, intensity 22

Atomic structure:
```
BaBr
1.0
4.787 0.000 0.000
-2.394 4.146 0.000
0.000 0.000 7.802
Ba Br
2 2
Cartesian
0.000 2.764 1.950
2.394 1.382 5.851
0.000 0.000 0.000
0.000 0.000 3.901
```



Record 2
For BaBr, a DFT-relaxed cell (PBE, Alexandria) gives the theoretical X-ray powder pattern in this record (Cu Kα (λ = 1.5418 Å)).
Neutral-atom scattering factors, no anomalous dispersion.

Main lines, sorted by position (2θ = 5–70°):
d 3.310, 26.93 deg, intensity 100; d 2.526, 35.54 deg, intensity 48; d 2.256, 39.97 deg, intensity 11; d 2.191, 41.20 deg, intensity 31; d 1.827, 49.91 deg, intensity 18; d 1.655, 55.52 deg, intensity 13; d 1.572, 58.74 deg, intensity 22; d 1.403, 66.64 deg, intensity 15

Atomic structure:
```
BaBr
1.0
2.191 1.265 4.512
-2.191 1.265 4.512
0.000 -2.530 4.512
Ba Br
1 1
Cartesian
0.000 0.000 0.000
0.000 0.000 6.767
```



Record 3
For Ba2Br, a DFT-relaxed cell (PBE, Alexandria) gives the theoretical X-ray powder pattern in this record (Cu Kα (λ = 1.5418 Å)).
Neutral-atom scattering factors, no anomalous dispersion.

Main lines, sorted by position (2θ = 5–70°):
d 3.728, 23.87 deg, intensity 40; d 3.253, 27.41 deg, intensity 100; d 2.892, 30.92 deg, intensity 12; d 2.316, 38.88 deg, intensity 11; d 2.285, 39.43 deg, intensity 12; d 2.048, 44.22 deg, intensity 27; d 1.967, 46.14 deg, intensity 14; d 1.464, 63.57 deg, intensity 17

Atomic structure:
```
Ba2Br
1.0
0.000 3.728 8.677
2.316 0.000 8.677
2.316 3.728 0.000
Ba Br
2 1
Cartesian
2.316 3.728 2.509
2.316 3.728 14.845
2.316 3.728 8.677
```



Record 4
For BaCBr, a DFT-relaxed cell (PBE, Alexandria) gives the theoretical X-ray powder pattern in this record (Cu Kα (λ = 1.5418 Å)).
Neutral-atom scattering factors, no anomalous dispersion.

Main lines, sorted by position (2θ = 5–70°):
d 3.847, 23.12 deg, intensity 46; d 3.235, 27.57 deg, intensity 38; d 3.207, 27.82 deg, intensity 100; d 2.909, 30.74 deg, intensity 35; d 2.800, 31.96 deg, intensity 64; d 2.652, 33.80 deg, intensity 23; d 2.589, 34.65 deg, intensity 29; d 2.224, 40.56 deg, intensity 26

Atomic structure:
```
BaCBr
1.0
4.084 -4.144 0.000
4.084 4.144 0.000
0.000 0.000 10.356
Ba C Br
4 4 4
Cartesian
2.042 0.783 2.589
2.042 -0.783 7.767
6.126 0.783 2.589
6.126 -0.783 7.767
4.084 2.849 2.920
4.084 1.295 8.098
4.084 -1.295 2.258
4.084 -2.849 7.436
4.084 2.230 4.908
4.084 1.914 10.086
4.084 -1.914 0.270
4.084 -2.230 5.448
```



Record 5
For BaNiC4Br, a DFT-relaxed cell (PBE, Alexandria) gives the theoretical X-ray powder pattern in this record (Cu Kα (λ = 1.5418 Å)).
Neutral-atom scattering factors, no anomalous dispersion.

Main lines, sorted by position (2θ = 5–70°):
d 5.019, 17.67 deg, intensity 14; d 3.537, 25.18 deg, intensity 100; d 2.890, 30.94 deg, intensity 42; d 2.511, 35.75 deg, intensity 23; d 2.499, 35.94 deg, intensity 39; d 2.047, 44.25 deg, intensity 30; d 1.771, 51.60 deg, intensity 27; d 1.580, 58.39 deg, intensity 20

Atomic structure:
```
BaNiC4Br
1.0
4.997 0.000 0.000
0.000 4.997 0.000
0.000 0.000 5.023
Ba Ni C Br
1 1 4 1
Cartesian
0.000 0.000 0.000
2.499 2.499 2.511
0.623 2.499 2.511
2.499 0.623 2.511
2.499 4.374 2.511
4.374 2.499 2.511
2.499 2.499 0.000
```



Record 6
For Ba2Ca2Br, a DFT-relaxed cell (PBE, Alexandria) gives the theoretical X-ray powder pattern in this record (Cu Kα (λ = 1.5418 Å)).
Neutral-atom scattering factors, no anomalous dispersion.

Main lines, sorted by position (2θ = 5–70°):
d 4.496, 19.75 deg, intensity 27; d 3.714, 23.96 deg, intensity 17; d 3.570, 24.94 deg, intensity 23; d 3.494, 25.49 deg, intensity 39; d 3.280, 27.19 deg, intensity 100; d 2.626, 34.14 deg, intensity 27; d 2.099, 43.09 deg, intensity 28; d 1.973, 45.99 deg, intensity 23

Atomic structure:
```
Ba2Ca2Br
1.0
8.305 0.000 0.000
0.000 8.305 0.000
0.000 0.000 6.988
Ba Ca Br
4 4 2
Cartesian
1.339 2.814 0.000
2.814 6.966 0.000
5.491 1.339 0.000
6.966 5.491 0.000
1.328 5.480 3.494
2.824 1.328 3.494
5.480 6.977 3.494
6.977 2.824 3.494
0.000 0.000 3.494
4.152 4.152 3.494
```



Record 7
For Ba4Ca6Br19, a DFT-relaxed cell (PBE, Alexandria) gives the theoretical X-ray powder pattern in this record (Cu Kα (λ = 1.5418 Å)).
Neutral-atom scattering factors, no anomalous dispersion.

Main lines, sorted by position (2θ = 5–70°):
d 5.102, 17.38 deg, intensity 15; d 3.340, 26.69 deg, intensity 18; d 2.946, 30.34 deg, intensity 100; d 2.551, 35.18 deg, intensity 13; d 2.451, 36.67 deg, intensity 16; d 2.083, 43.45 deg, intensity 13; d 1.701, 53.91 deg, intensity 23; d 1.473, 63.12 deg, intensity 9

Atomic structure:
```
Ba4Ca6Br19
1.0
-6.249 6.249 6.249
6.249 -6.249 6.249
6.249 6.249 -6.249
Ba Ca Br
4 6 19
Cartesian
2.026 2.026 -2.026
2.026 -2.026 2.026
-2.026 2.026 2.026
4.223 4.223 4.223
6.249 2.041 0.000
6.249 0.000 4.208
4.208 6.249 0.000
2.041 0.000 6.249
0.000 6.249 2.041
0.000 4.208 6.249
0.000 0.000 0.000
4.108 0.000 0.000
8.390 0.000 0.000
5.415 -2.406 2.715
8.654 3.533 -0.833
2.715 5.415 -2.406
0.000 4.108 0.000
0.000 0.000 4.108
3.843 3.533 0.833
3.533 0.833 3.843
7.082 2.406 2.715
0.833 3.843 3.533
3.533 -0.833 8.654
-2.406 2.715 5.415
0.000 8.390 0.000
0.000 0.000 8.390
2.715 7.082 2.406
2.406 2.715 7.082
-0.833 8.654 3.533
```



Record 8
For BaCaCdBr6, a DFT-relaxed cell (PBE, Alexandria) gives the theoretical X-ray powder pattern in this record (Cu Kα (λ = 1.5418 Å)).
Neutral-atom scattering factors, no anomalous dispersion.

Main lines, sorted by position (2θ = 5–70°):
d 4.728, 18.77 deg, intensity 69; d 3.268, 27.29 deg, intensity 100; d 2.544, 35.28 deg, intensity 84; d 2.286, 39.42 deg, intensity 26; d 2.132, 42.39 deg, intensity 47; d 1.976, 45.92 deg, intensity 23; d 1.634, 56.30 deg, intensity 18; d 1.355, 69.37 deg, intensity 20

Atomic structure:
```
BaCaCdBr6
1.0
7.387 0.000 0.000
-3.693 6.397 0.000
0.000 0.000 14.036
Ba Ca Cd Br
2 2 2 12
Cartesian
0.000 0.000 0.000
0.000 0.000 7.018
0.000 4.265 3.509
3.693 2.132 10.527
0.000 4.265 10.527
3.693 2.132 3.509
-1.289 2.352 8.897
-2.301 4.105 12.157
1.289 2.352 12.157
-1.012 6.337 8.897
2.681 0.060 1.879
1.393 2.292 5.139
2.301 4.105 8.897
1.012 6.337 12.157
4.705 0.060 5.139
2.404 4.045 1.879
5.994 2.292 1.879
4.982 4.045 5.139
```



Record 9
For Ba2CaSe2Br2, a DFT-relaxed cell (PBE, Alexandria) gives the theoretical X-ray powder pattern in this record (Cu Kα (λ = 1.5418 Å)).
Neutral-atom scattering factors, no anomalous dispersion.

Main lines, sorted by position (2θ = 5–70°):
d 3.938, 22.58 deg, intensity 60; d 3.554, 25.05 deg, intensity 43; d 2.849, 31.40 deg, intensity 80; d 2.839, 31.51 deg, intensity 88; d 2.785, 32.14 deg, intensity 100; d 1.988, 45.63 deg, intensity 61; d 1.969, 46.09 deg, intensity 36; d 1.619, 56.86 deg, intensity 45

Atomic structure:
```
Ba2CaSe2Br2
1.0
-2.785 2.785 8.251
2.785 -2.785 8.251
2.785 2.785 -8.251
Ba Ca Se Br
2 1 2 2
Cartesian
0.000 0.000 1.968
0.000 0.000 14.533
0.000 0.000 8.251
2.785 0.000 0.000
0.000 2.785 0.000
0.000 0.000 5.192
0.000 0.000 11.309
```



Record 10
For BaCd3Br8, a DFT-relaxed cell (PBE, Alexandria) gives the theoretical X-ray powder pattern in this record (Cu Kα (λ = 1.5418 Å)).
Neutral-atom scattering factors, no anomalous dispersion.

Main lines, sorted by position (2θ = 5–70°):
d 6.665, 13.28 deg, intensity 81; d 3.662, 24.31 deg, intensity 27; d 2.994, 29.84 deg, intensity 100; d 2.964, 30.15 deg, intensity 49; d 2.148, 42.07 deg, intensity 53; d 2.088, 43.33 deg, intensity 17; d 2.068, 43.78 deg, intensity 34; d 1.739, 52.62 deg, intensity 17

Atomic structure:
```
BaCd3Br8
1.0
7.079 -4.296 0.000
7.079 4.296 0.000
-4.572 0.000 7.003
Ba Cd Br
1 3 8
Cartesian
0.000 0.000 0.000
1.253 2.148 3.502
1.253 -2.148 3.502
7.079 0.000 0.000
0.217 0.000 5.195
2.414 0.000 2.067
3.529 1.907 5.171
6.058 1.907 1.832
3.529 -1.907 5.171
6.058 -1.907 1.832
7.172 0.000 4.937
9.369 0.000 1.808
```



Record 11
For BaMg2CdBr8, a DFT-relaxed cell (PBE, Alexandria) gives the theoretical X-ray powder pattern in this record (Cu Kα (λ = 1.5418 Å)).
Neutral-atom scattering factors, no anomalous dispersion.

Main lines, sorted by position (2θ = 5–70°):
d 4.855, 18.27 deg, intensity 33; d 4.693, 18.91 deg, intensity 19; d 3.144, 28.39 deg, intensity 100; d 3.100, 28.80 deg, intensity 54; d 2.459, 36.54 deg, intensity 56; d 2.416, 37.21 deg, intensity 22; d 2.118, 42.70 deg, intensity 21; d 2.020, 44.88 deg, intensity 39

Atomic structure:
```
BaMg2CdBr8
1.0
6.615 0.000 0.000
0.000 8.470 0.000
-0.234 0.000 6.893
Ba Mg Cd Br
1 2 1 8
Cartesian
0.000 0.000 0.000
3.191 2.217 3.447
3.191 6.253 3.447
0.000 4.235 0.000
1.699 2.367 1.171
1.699 6.103 1.171
1.628 4.235 4.475
1.766 0.000 4.358
4.615 0.000 2.535
4.753 4.235 2.419
4.682 2.367 5.722
4.682 6.103 5.722
```



Record 12
For BaBrCl2, a DFT-relaxed cell (PBE, Alexandria) gives the theoretical X-ray powder pattern in this record (Cu Kα (λ = 1.5418 Å)).
Neutral-atom scattering factors, no anomalous dispersion.

Main lines, sorted by position (2θ = 5–70°):
d 5.712, 15.51 deg, intensity 61; d 4.972, 17.84 deg, intensity 31; d 3.655, 24.35 deg, intensity 31; d 3.391, 26.28 deg, intensity 79; d 3.079, 29.00 deg, intensity 100; d 2.856, 31.32 deg, intensity 49; d 2.279, 39.54 deg, intensity 84; d 2.184, 41.33 deg, intensity 44

Atomic structure:
```
BaBrCl2
1.0
3.391 -3.655 0.000
3.391 3.655 0.000
0.000 0.000 5.712
Ba Br Cl
1 1 2
Cartesian
0.000 0.000 0.000
3.391 0.000 0.000
3.391 2.336 2.856
3.391 -2.336 2.856
```



Copy entry 2 word for word.
For BaBr, a DFT-relaxed cell (PBE, Alexandria) gives the theoretical X-ray powder pattern in this record (Cu Kα (λ = 1.5418 Å)).
Neutral-atom scattering factors, no anomalous dispersion.

Main lines, sorted by position (2θ = 5–70°):
d 3.310, 26.93 deg, intensity 100; d 2.526, 35.54 deg, intensity 48; d 2.256, 39.97 deg, intensity 11; d 2.191, 41.20 deg, intensity 31; d 1.827, 49.91 deg, intensity 18; d 1.655, 55.52 deg, intensity 13; d 1.572, 58.74 deg, intensity 22; d 1.403, 66.64 deg, intensity 15

Atomic structure:
```
BaBr
1.0
2.191 1.265 4.512
-2.191 1.265 4.512
0.000 -2.530 4.512
Ba Br
1 1
Cartesian
0.000 0.000 0.000
0.000 0.000 6.767
```